Calculated powder XRD pattern of Li2CoGeO4 for λ = 1.5418 Å (Cu Kα), from a crystal structure in Alexandria, relaxed with PBE+U.

Structural model:
Unit cell a=6.3371 b=5.5723 c=5.0969 alpha=90.00 beta=90.00 gamma=90.00
Fractional positions:
Li  0.2487  0.1664  0.0000
Li  0.2513  0.8336  0.5000
Li  0.7487  0.8336  0.5000
Li  0.7513  0.1664  0.0000
Co  0.0000  0.3361  0.5011
Co  0.5000  0.6639  0.0011
Ge  0.0000  0.6706  0.0056
Ge  0.5000  0.3294  0.5056
O  0.0000  0.3665  0.8942
O  0.0000  0.6691  0.3559
O  0.2302  0.8242  0.8928
O  0.2698  0.1758  0.3928
O  0.5000  0.3309  0.8559
O  0.5000  0.6335  0.3942
O  0.7302  0.1758  0.3928
O  0.7698  0.8242  0.8928

Peak list (10 most intense, 2θ = 10–90°, sorted by position)
(0 1 0), 15.9°, I 435; (0 1 1), 23.7°, I 1000; (2 0 0), 28.2°, I 398; (2 1 0), 32.5°, I 383; (0 0 2), 35.2°, I 365; (0 2 1), 36.8°, I 208; (2 1 1), 37.1°, I 423; (2 2 1), 46.9°, I 268; (2 3 0), 57.5°, I 242; (2 1 3), 64.4°, I 213